# 1
Starting from a DFT-relaxed cell (GGA+U, the Materials Project), the X-ray diffraction stick pattern of Li6Mn9P8O32 was simulated for Cu Kα, 1.54184 Å.
Intensities are scaled so that the largest is 100.

Most intense lines, 2θ = 15–90°, sorted by position:
hkl 1 1 -1, 2θ 15.79, intensity 100.0; hkl 0 0 2, 2θ 21.52, intensity 55.4; hkl -1 2 1, 2θ 23.86, intensity 56.5; hkl 1 2 -2, 2θ 26.40, intensity 62.9; hkl 2 -1 1, 2θ 27.04, intensity 53.8; hkl 0 3 -1, 2θ 30.08, intensity 55.4; hkl 1 -3 1, 2θ 30.46, intensity 53.2; hkl -3 1 2, 2θ 32.12, intensity 92.4; hkl 1 2 -3, 2θ 32.51, intensity 85.2; hkl 3 1 -1, 2θ 34.77, intensity 47.3; hkl 2 -1 2, 2θ 35.12, intensity 67.2; hkl 1 -3 3, 2θ 41.31, intensity 72.7

Crystal structure
```
data_Li6Mn9P8O32
_cell_length_a 8.925
_cell_length_b 9.101
_cell_length_c 9.286
_cell_angle_alpha 101.27
_cell_angle_beta 111.53
_cell_angle_gamma 101.24
_symmetry_space_group_name_H-M 'P -1'
_symmetry_Int_Tables_number 2
_symmetry_space_group_name_Hall '-P 1'
loop_
_atom_site_label
_atom_site_type_symbol
_atom_site_fract_x
_atom_site_fract_y
_atom_site_fract_z
Li1 Li 0.121 0.361 0.024
Li2 Li 0.232 0.960 0.731
Li3 Li 0.314 0.314 0.360
Mn1 Mn 0.000 0.000 0.000
Mn2 Mn 0.133 0.283 0.577
Mn3 Mn 0.282 0.681 0.533
Mn4 Mn 0.303 0.797 0.043
Mn5 Mn 0.500 0.000 0.500
Mn6 Mn 0.500 0.500 0.000
P1 P 0.024 0.600 0.713
P2 P 0.112 0.955 0.339
P3 P 0.396 0.165 0.099
P4 P 0.462 0.659 0.281
O1 O 0.047 0.685 0.885
O2 O 0.067 0.098 0.670
O3 O 0.071 0.447 0.715
O4 O 0.105 0.895 0.166
O5 O 0.130 0.717 0.658
O6 O 0.164 0.438 0.412
O7 O 0.182 0.135 0.400
O8 O 0.238 0.887 0.456
O9 O 0.251 0.228 0.116
O10 O 0.306 0.565 0.119
O11 O 0.310 0.999 0.972
O12 O 0.386 0.385 0.742
O13 O 0.457 0.629 0.436
O14 O 0.475 0.836 0.292
O15 O 0.490 0.847 0.733
O16 O 0.498 0.728 0.962
```


# 2
Starting from a DFT-relaxed cell (GGA+U, the Materials Project), the X-ray diffraction stick pattern of Y2V2O7 was simulated for Cu Kα, 1.54184 Å.
Intensities are scaled so that the largest is 100.

Most intense lines, 2θ = 15–90°, sorted by position:
hkl 1 1 1, 2θ 15.11, intensity 3.1; hkl 3 1 1, 2θ 29.16, intensity 10.9; hkl 2 2 2, 2θ 30.48, intensity 100.0; hkl 4 0 0, 2θ 35.34, intensity 17.2; hkl 3 3 1, 2θ 38.64, intensity 2.5; hkl 5 1 1, 2θ 46.45, intensity 4.9; hkl 4 4 0, 2θ 50.85, intensity 62.0; hkl 6 2 2, 2θ 60.45, intensity 38.6; hkl 4 4 4, 2θ 63.44, intensity 5.0; hkl 8 0 0, 2θ 74.77, intensity 8.4; hkl 6 6 2, 2θ 82.85, intensity 15.0; hkl 8 4 0, 2θ 85.50, intensity 7.2

Crystal structure
Lattice parameters (Å, degrees): 10.158 10.158 10.158 90.00 90.00 90.00
Space group Fd-3m (No. 227, origin choice 2)
Asymmetric unit:
Y1 0.000 0.000 0.000 x16
V1 0.000 0.000 0.500 x16
O1 0.115 0.375 0.875 x48
O2 0.125 0.125 0.625 x8


# 3
Starting from a DFT-relaxed cell (GGA+U, the Materials Project), the X-ray diffraction stick pattern of Ba2YV3O7 was simulated for Cu Kα, 1.54184 Å.
Intensities are scaled so that the largest is 100.

Most intense lines, 2θ = 15–90°, sorted by position:
hkl 0 1 0, 2θ 21.41, intensity 20.1; hkl 1 1 0, 2θ 31.48, intensity 96.8; hkl 0 1 3, 2θ 31.58, intensity 90.8; hkl 1 0 3, 2θ 32.56, intensity 100.0; hkl 1 1 3, 2θ 39.31, intensity 43.6; hkl 0 2 0, 2θ 43.63, intensity 35.0; hkl 2 0 0, 2θ 46.57, intensity 29.0; hkl 0 0 6, 2θ 46.86, intensity 19.2; hkl 1 2 3, 2θ 55.48, intensity 41.8; hkl 2 1 3, 2θ 57.36, intensity 32.6; hkl 1 1 6, 2θ 57.55, intensity 37.6; hkl 2 2 0, 2θ 65.71, intensity 18.7

Crystal structure
```
data_Ba2YV3O7
_cell_length_a 3.900
_cell_length_b 4.149
_cell_length_c 11.633
_cell_angle_alpha 90.00
_cell_angle_beta 90.00
_cell_angle_gamma 90.00
_symmetry_space_group_name_H-M 'P m m m'
_symmetry_Int_Tables_number 47
_symmetry_space_group_name_Hall '-P 2 2'
loop_
_atom_site_label
_atom_site_type_symbol
_atom_site_fract_x
_atom_site_fract_y
_atom_site_fract_z
Ba1 Ba 0.000 0.000 0.178
Y1 Y 0.000 0.000 0.500
V1 V 0.500 0.500 0.000
V2 V 0.500 0.500 0.347
O1 O 0.000 0.500 0.381
O2 O 0.500 0.000 0.000
O3 O 0.500 0.000 0.374
O4 O 0.500 0.500 0.175
```


# 4
Starting from a DFT-relaxed cell (GGA+U, the Materials Project), the X-ray diffraction stick pattern of LiLaV4O12 was simulated for Cu Kα, 1.54184 Å.
Intensities are scaled so that the largest is 100.

Most intense lines, 2θ = 15–90°, sorted by position:
hkl 0 1 1, 2θ 16.39, intensity 70.8; hkl 1 1 1, 2θ 20.33, intensity 100.0; hkl 1 0 2, 2θ 24.80, intensity 39.5; hkl 2 1 1, 2θ 29.22, intensity 30.1; hkl 2 0 2, 2θ 32.58, intensity 51.6; hkl 0 2 2, 2θ 33.12, intensity 60.6; hkl 2 2 0, 2θ 34.75, intensity 51.9; hkl 0 0 4, 2θ 44.19, intensity 31.8; hkl 4 0 0, 2θ 49.19, intensity 24.8; hkl 0 4 0, 2θ 50.71, intensity 23.7; hkl 2 2 4, 2θ 57.41, intensity 25.4; hkl 4 2 2, 2θ 60.59, intensity 23.1

Crystal structure
```
data_LiLaV4O12
_cell_length_a 7.408
_cell_length_b 7.199
_cell_length_c 8.197
_cell_angle_alpha 90.00
_cell_angle_beta 90.00
_cell_angle_gamma 90.00
_symmetry_space_group_name_H-M 'A m m 2'
_symmetry_Int_Tables_number 38
_symmetry_space_group_name_Hall 'A 2 -2'
loop_
_atom_site_label
_atom_site_type_symbol
_atom_site_fract_x
_atom_site_fract_y
_atom_site_fract_z
Li1 Li 0.000 0.000 0.000
La1 La 0.500 0.000 0.472
V1 V 0.240 0.243 0.724
O1 O 0.000 0.198 0.241
O2 O 0.196 0.000 0.797
O3 O 0.244 0.214 0.518
O4 O 0.292 0.000 0.244
O5 O 0.500 0.205 0.756
```


# 5
Starting from a DFT-relaxed cell (GGA+U, the Materials Project), the X-ray diffraction stick pattern of MgV4Pb2O12 was simulated for Cu Kα, 1.54184 Å.
Intensities are scaled so that the largest is 100.

Most intense lines, 2θ = 15–90°, sorted by position:
hkl 0 0 2, 2θ 18.74, intensity 85.4; hkl 0 2 0, 2θ 21.24, intensity 100.0; hkl 0 2 2, 2θ 24.47, intensity 46.8; hkl 1 1 -1, 2θ 26.76, intensity 31.6; hkl 0 1 3, 2θ 27.46, intensity 36.5; hkl 1 2 0, 2θ 28.82, intensity 28.7; hkl 1 2 1, 2θ 29.00, intensity 53.7; hkl 1 -1 1, 2θ 31.67, intensity 36.8; hkl 1 0 2, 2θ 31.87, intensity 53.2; hkl -1 1 2, 2θ 32.15, intensity 49.0; hkl 1 3 3, 2θ 41.61, intensity 29.9; hkl -1 3 1, 2θ 43.84, intensity 29.3

Crystal structure
```
data_MgV4Pb2O12
_cell_length_a 3.725
_cell_length_b 8.865
_cell_length_c 9.813
_cell_angle_alpha 75.19
_cell_angle_beta 89.97
_cell_angle_gamma 77.92
_symmetry_space_group_name_H-M 'P 1'
_symmetry_Int_Tables_number 1
_symmetry_space_group_name_Hall 'P 1'
loop_
_atom_site_label
_atom_site_type_symbol
_atom_site_fract_x
_atom_site_fract_y
_atom_site_fract_z
Mg1 Mg 0.000 0.000 0.000
V1 V 0.077 0.848 0.788
V2 V 0.391 0.218 0.081
V3 V 0.656 0.689 0.610
V4 V 0.837 0.327 0.284
Pb1 Pb 0.146 0.712 0.265
Pb2 Pb 0.377 0.250 0.686
O1 O 0.114 0.773 0.967
O2 O 0.146 0.710 0.654
O3 O 0.334 0.332 0.233
O4 O 0.341 0.320 0.909
O5 O 0.500 0.000 0.078
O6 O 0.576 0.850 0.723
O7 O 0.617 0.768 0.430
O8 O 0.734 0.533 0.275
O9 O 0.756 0.488 0.643
O10 O 0.888 0.224 0.450
O11 O 0.902 0.195 0.146
O12 O 0.965 0.072 0.788
```


# 6
Starting from a DFT-relaxed cell (GGA+U, the Materials Project), the X-ray diffraction stick pattern of Li3Mn4O8 was simulated for Cu Kα, 1.54184 Å.
Intensities are scaled so that the largest is 100.

Most intense lines, 2θ = 15–90°, sorted by position:
hkl 2 0 -2, 2θ 23.75, intensity 100.0; hkl 2 0 2, 2θ 25.90, intensity 78.2; hkl 4 0 0, 2θ 34.85, intensity 21.8; hkl 2 2 0, 2θ 35.94, intensity 43.3; hkl 0 2 2, 2θ 36.21, intensity 36.7; hkl 4 0 -4, 2θ 48.60, intensity 14.2; hkl 4 2 -2, 2θ 49.96, intensity 22.1; hkl 2 2 -4, 2θ 50.62, intensity 30.9; hkl 4 2 2, 2θ 52.29, intensity 16.5; hkl 2 2 4, 2θ 52.92, intensity 31.5; hkl 4 0 4, 2θ 53.27, intensity 13.8; hkl 6 2 0, 2θ 63.19, intensity 21.8

Crystal structure
```
data_Li3Mn4O8
_cell_length_a 10.336
_cell_length_b 5.718
_cell_length_c 10.015
_cell_angle_alpha 90.00
_cell_angle_beta 94.90
_cell_angle_gamma 90.00
_symmetry_space_group_name_H-M 'C 1 2/m 1'
_symmetry_Int_Tables_number 12
_symmetry_space_group_name_Hall '-C 2y'
loop_
_atom_site_label
_atom_site_type_symbol
_atom_site_fract_x
_atom_site_fract_y
_atom_site_fract_z
Li1 Li 0.000 0.000 0.000
Li2 Li 0.000 0.500 0.500
Li3 Li 0.237 0.234 0.250
Mn1 Mn 0.001 0.500 0.222
Mn2 Mn 0.028 0.000 0.731
Mn3 Mn 0.250 0.250 0.000
Mn4 Mn 0.250 0.250 0.500
O1 O 0.074 0.258 0.344
O2 O 0.098 0.240 0.861
O3 O 0.171 0.500 0.100
O4 O 0.175 0.000 0.099
O5 O 0.181 0.500 0.605
O6 O 0.186 0.000 0.612
```